(1)
Starting from a cell relaxed with GGA-PBE, the powder diffractogram of ScBP2C was calculated for Cu Kα, 1.54184 Å.

The 10 most intense peaks (2θ = 5–70°), most intense first:
- d 2.898, 2θ = 30.9°, I = 100, hkl 1 1 0
- d 4.997, 2θ = 17.7°, I = 91, hkl 0 0 1
- d 4.778, 2θ = 18.6°, I = 74, hkl 2 0 0
- d 3.592, 2θ = 24.8°, I = 66, hkl 2 0 -1
- d 2.095, 2θ = 43.2°, I = 62, hkl 4 0 1
- d 2.053, 2θ = 44.1°, I = 62, hkl 3 1 -1
- d 1.871, 2θ = 48.7°, I = 62, hkl 1 1 2
- d 2.499, 2θ = 35.9°, I = 52, hkl 0 0 2
- d 2.482, 2θ = 36.2°, I = 41, hkl 1 1 1
- d 1.696, 2θ = 54.1°, I = 40, hkl 3 1 -2

a = 9.584 Å, b = 3.041 Å, c = 5.012 Å
α = 90.00°, β = 94.34°, γ = 90.00°
Space group Cm (No. 8)
Unique sites:
Sc: 0.000 0.000 0.000 x2
B: 0.286 0.000 0.925 x2
P: 0.226 0.500 0.109 x2
P: 0.399 0.500 0.471 x2
C: 0.370 0.000 0.671 x2


(2)
Starting from a cell relaxed with GGA-PBE, the powder diffractogram of ScBP2C was calculated for Cu Kα, 1.54184 Å.

The 10 most intense peaks (2θ = 5–70°), most intense first:
- d 2.846, 2θ = 31.4°, I = 100, hkl 0 1 1
- d 2.937, 2θ = 30.4°, I = 99, hkl 1 0 -1
- d 2.759, 2θ = 32.4°, I = 99, hkl 1 -1 1
- d 1.925, 2θ = 47.2°, I = 56, hkl 2 -1 0
- d 2.185, 2θ = 41.3°, I = 46, hkl 1 1 0
- d 2.167, 2θ = 41.7°, I = 42, hkl 1 -2 0
- d 2.111, 2θ = 42.8°, I = 33, hkl 0 1 -2
- d 1.903, 2θ = 47.8°, I = 31, hkl 0 2 -1
- d 1.836, 2θ = 49.6°, I = 26, hkl 1 0 2
- d 2.032, 2θ = 44.6°, I = 22, hkl 1 0 -2

a = 3.857 Å, b = 4.399 Å, c = 4.675 Å
α = 94.58°, β = 93.73°, γ = 115.03°
Space group P1 (No. 1)
Unique sites:
Sc: 0.000 0.000 0.000 x1
B: 0.220 0.355 0.518 x1
P: 0.402 0.740 0.310 x1
P: 0.661 0.357 0.768 x1
C: 0.812 0.078 0.530 x1


(3)
Starting from a cell relaxed with GGA-PBE, the powder diffractogram of ScBP2C was calculated for Cu Kα, 1.54184 Å.

The 10 most intense peaks (2θ = 5–70°), most intense first:
- d 2.316, 2θ = 38.9°, I = 100, hkl 2 0 0
- d 3.267, 2θ = 27.3°, I = 83, hkl 0 0 1
- d 2.305, 2θ = 39.1°, I = 71, hkl 1 3 0
- d 2.216, 2θ = 40.7°, I = 63, hkl 1 3 -1
- d 2.843, 2θ = 31.5°, I = 57, hkl 2 0 -1
- d 3.584, 2θ = 24.8°, I = 57, hkl 1 1 -1
- d 2.527, 2θ = 35.5°, I = 36, hkl 0 2 1
- d 1.792, 2θ = 51.0°, I = 30, hkl 2 2 -2
- d 1.667, 2θ = 55.1°, I = 26, hkl 1 3 1
- d 1.512, 2θ = 61.3°, I = 23, hkl 0 2 2

a = 5.745 Å, b = 7.974 Å, c = 4.052 Å
α = 90.00°, β = 126.27°, γ = 90.00°
Space group Cm (No. 8)
Unique sites:
Sc: 0.000 0.000 0.000 x2
B: 0.008 0.500 0.464 x2
P: 0.003 0.329 0.793 x4
C: 0.021 0.500 0.106 x2


(4)
Starting from a cell relaxed with GGA-PBE, the powder diffractogram of Pa3B2C4 was calculated for Cu Kα, 1.54184 Å.

The 10 most intense peaks (2θ = 5–70°), most intense first:
- d 3.109, 2θ = 28.7°, I = 100, hkl 0 2 0
- d 2.636, 2θ = 34.0°, I = 76, hkl 1 1 2
- d 2.262, 2θ = 39.8°, I = 26, hkl 1 2 1
- d 1.511, 2θ = 61.3°, I = 25, hkl 2 2 0
- d 3.293, 2θ = 27.1°, I = 23, hkl 1 0 1
- d 1.576, 2θ = 58.6°, I = 21, hkl 1 2 5
- d 1.690, 2θ = 54.3°, I = 19, hkl 1 3 2
- d 1.827, 2θ = 49.9°, I = 18, hkl 1 0 5
- d 1.796, 2θ = 50.8°, I = 16, hkl 0 3 3
- d 1.729, 2θ = 52.9°, I = 9, hkl 2 0 0

a = 3.459 Å, b = 6.227 Å, c = 10.756 Å
α = 90.00°, β = 90.00°, γ = 90.00°
Space group Immm (No. 71)
Unique sites:
Pa: 0.000 0.000 0.000 x2
Pa: 0.000 0.500 0.193 x4
B: 0.000 0.145 0.500 x4
C: 0.000 0.268 0.373 x8


(5)
Starting from a cell relaxed with GGA-PBE, the powder diffractogram of Pa2B3C was calculated for Cu Kα, 1.54184 Å.

The 10 most intense peaks (2θ = 5–70°), most intense first:
- d 2.247, 2θ = 40.1°, I = 100, hkl 1 1 1
- d 4.136, 2θ = 21.5°, I = 92, hkl 0 1 0
- d 2.677, 2θ = 33.5°, I = 70, hkl 1 0 1
- d 1.637, 2θ = 56.2°, I = 50, hkl 1 2 1
- d 2.253, 2θ = 40.0°, I = 50, hkl 0 1 2
- d 2.687, 2θ = 33.3°, I = 35, hkl 0 0 2
- d 1.451, 2θ = 64.2°, I = 21, hkl 1 1 3
- d 2.068, 2θ = 43.8°, I = 21, hkl 0 2 0
- d 1.549, 2θ = 59.7°, I = 17, hkl 1 0 3
- d 1.446, 2θ = 64.4°, I = 11, hkl 2 1 0

a = 3.087 Å, b = 4.136 Å, c = 5.374 Å
α = 90.00°, β = 90.00°, γ = 90.00°
Space group Pmm2 (No. 25)
Unique sites:
Pa: 0.000 0.000 0.000 x1
Pa: 0.500 0.000 0.499 x1
B: 0.000 0.500 0.342 x1
B: 0.500 0.500 0.169 x1
B: 0.500 0.500 0.826 x1
C: 0.000 0.500 0.663 x1


(6)
Starting from a cell relaxed with GGA-PBE, the powder diffractogram of PaB2C2 was calculated for Cu Kα, 1.54184 Å.

The 10 most intense peaks (2θ = 5–70°), most intense first:
- d 3.797, 2θ = 23.4°, I = 100, hkl 0 2 0
- d 2.606, 2θ = 34.4°, I = 98, hkl 2 2 0
- d 2.149, 2θ = 42.0°, I = 56, hkl 2 2 2
- d 2.685, 2θ = 33.4°, I = 43, hkl 0 2 2
- d 3.584, 2θ = 24.8°, I = 33, hkl 2 0 0
- d 1.535, 2θ = 60.3°, I = 32, hkl 2 4 2
- d 1.698, 2θ = 54.0°, I = 29, hkl 0 4 2
- d 1.621, 2θ = 56.8°, I = 20, hkl 4 2 0
- d 1.491, 2θ = 62.3°, I = 15, hkl 4 2 2
- d 1.679, 2θ = 54.6°, I = 12, hkl 2 0 4

a = 7.168 Å, b = 7.585 Å, c = 7.604 Å
α = 90.00°, β = 90.00°, γ = 90.00°
Space group Fmmm (No. 69)
Unique sites:
Pa: 0.250 0.250 0.250 x8
B: 0.000 0.000 0.136 x8
B: 0.000 0.136 0.500 x8
C: 0.000 0.000 0.338 x8
C: 0.000 0.162 0.000 x8


(7)
Starting from a cell relaxed with GGA-PBE, the powder diffractogram of Pa2B3C5 was calculated for Cu Kα, 1.54184 Å.

The 10 most intense peaks (2θ = 5–70°), most intense first:
- d 3.391, 2θ = 26.3°, I = 100, hkl 1 2 1
- d 2.569, 2θ = 34.9°, I = 34, hkl 1 4 1
- d 1.563, 2θ = 59.1°, I = 24, hkl 1 8 1
- d 3.148, 2θ = 28.4°, I = 21, hkl 2 0 0
- d 1.861, 2θ = 49.0°, I = 20, hkl 3 2 1
- d 1.954, 2θ = 46.5°, I = 16, hkl 2 0 2
- d 2.313, 2θ = 38.9°, I = 14, hkl 2 4 0
- d 2.493, 2θ = 36.0°, I = 14, hkl 0 0 2
- d 1.681, 2θ = 54.6°, I = 14, hkl 0 6 2
- d 6.818, 2θ = 13.0°, I = 13, hkl 0 2 0

a = 6.295 Å, b = 13.635 Å, c = 4.986 Å
α = 90.00°, β = 90.00°, γ = 90.00°
Space group Ibam (No. 72)
Unique sites:
Pa: 0.231 0.155 0.000 x8
B: 0.000 0.000 0.250 x4
B: 0.132 0.461 0.000 x8
C: 0.000 0.256 0.250 x8
C: 0.000 0.500 0.250 x4
C: 0.133 0.053 0.500 x8


(8)
Starting from a cell relaxed with GGA-PBE, the powder diffractogram of PaBC3 was calculated for Cu Kα, 1.54184 Å.

The 10 most intense peaks (2θ = 5–70°), most intense first:
- d 3.629, 2θ = 24.5°, I = 100, hkl 1 0 1
- d 2.428, 2θ = 37.0°, I = 72, hkl 1 0 5
- d 2.634, 2θ = 34.0°, I = 39, hkl 1 1 0
- d 2.200, 2θ = 41.0°, I = 37, hkl 1 1 4
- d 4.000, 2θ = 22.2°, I = 32, hkl 0 0 4
- d 1.478, 2θ = 62.9°, I = 28, hkl 2 1 5
- d 1.657, 2θ = 55.4°, I = 25, hkl 2 1 1
- d 8.000, 2θ = 11.1°, I = 18, hkl 0 0 2
- d 1.863, 2θ = 48.9°, I = 17, hkl 2 0 0
- d 1.874, 2θ = 48.6°, I = 16, hkl 1 1 6

a = 3.726 Å, b = 3.726 Å, c = 16.000 Å
α = 90.00°, β = 90.00°, γ = 90.00°
Space group I-4m2 (No. 119)
Unique sites:
Pa: 0.000 0.000 0.102 x4
B: 0.000 0.000 0.500 x2
B: 0.000 0.500 0.750 x2
C: 0.000 0.176 0.684 x8
C: 0.000 0.500 0.008 x4


(9)
Starting from a cell relaxed with GGA-PBE, the powder diffractogram of PaTa2BC4 was calculated for Cu Kα, 1.54184 Å.

The 10 most intense peaks (2θ = 5–70°), most intense first:
- d 2.639, 2θ = 34.0°, I = 100, hkl 0 4 0
- d 2.948, 2θ = 30.3°, I = 76, hkl 0 2 3
- d 2.300, 2θ = 39.2°, I = 32, hkl 1 3 1
- d 2.154, 2θ = 41.9°, I = 29, hkl 1 3 2
- d 1.746, 2θ = 52.4°, I = 25, hkl 1 1 5
- d 2.923, 2θ = 30.6°, I = 24, hkl 1 1 1
- d 1.668, 2θ = 55.1°, I = 24, hkl 1 5 2
- d 1.581, 2θ = 58.4°, I = 20, hkl 1 3 5
- d 2.668, 2θ = 33.6°, I = 17, hkl 0 0 4
- d 1.397, 2θ = 67.0°, I = 17, hkl 2 2 3

a = 3.174 Å, b = 10.539 Å, c = 10.670 Å
α = 90.00°, β = 90.00°, γ = 90.00°
Space group Cmcm (No. 63)
Unique sites:
Pa: 0.000 0.098 0.250 x4
Ta: 0.000 0.367 0.048 x8
B: 0.000 0.174 0.750 x4
C: 0.000 0.000 0.000 x4
C: 0.000 0.267 0.626 x8
C: 0.000 0.416 0.250 x4


(10)
Starting from a cell relaxed with GGA-PBE, the powder diffractogram of SrB6PbC6 was calculated for Cu Kα, 1.54184 Å.

The 10 most intense peaks (2θ = 5–70°), most intense first:
- d 3.477, 2θ = 25.6°, I = 100, hkl 1 1 0
- d 2.008, 2θ = 45.2°, I = 76, hkl 2 1 1
- d 2.459, 2θ = 36.5°, I = 35, hkl 2 0 0
- d 4.918, 2θ = 18.0°, I = 23, hkl 1 0 0
- d 1.555, 2θ = 59.4°, I = 22, hkl 3 0 1
- d 1.739, 2θ = 52.6°, I = 16, hkl 2 2 0
- d 2.199, 2θ = 41.0°, I = 13, hkl 2 1 0
- d 2.839, 2θ = 31.5°, I = 9, hkl 1 1 1
- d 1.639, 2θ = 56.1°, I = 7, hkl 3 0 0
- d 1.483, 2θ = 62.7°, I = 4, hkl 3 1 1

a = 4.918 Å, b = 4.918 Å, c = 4.918 Å
α = 90.00°, β = 90.00°, γ = 90.00°
Space group Pm-3 (No. 200)
Unique sites:
Sr: 0.000 0.000 0.000 x1
B: 0.000 0.251 0.500 x6
Pb: 0.500 0.500 0.500 x1
C: 0.000 0.500 0.249 x6


(11)
Starting from a cell relaxed with GGA-PBE, the powder diffractogram of YB6PbC6 was calculated for Cu Kα, 1.54184 Å.

The 10 most intense peaks (2θ = 5–70°), most intense first:
- d 3.449, 2θ = 25.8°, I = 100, hkl 1 1 0
- d 1.991, 2θ = 45.6°, I = 74, hkl 2 1 1
- d 2.439, 2θ = 36.9°, I = 34, hkl 2 0 0
- d 1.542, 2θ = 60.0°, I = 22, hkl 3 1 0
- d 4.878, 2θ = 18.2°, I = 21, hkl 1 0 0
- d 1.724, 2θ = 53.1°, I = 15, hkl 2 2 0
- d 2.181, 2θ = 41.4°, I = 12, hkl 2 0 1
- d 2.816, 2θ = 31.8°, I = 8, hkl 1 1 1
- d 1.626, 2θ = 56.6°, I = 6, hkl 3 0 0
- d 1.471, 2θ = 63.2°, I = 4, hkl 3 1 1

a = 4.878 Å, b = 4.878 Å, c = 4.878 Å
α = 90.00°, β = 90.00°, γ = 90.00°
Space group Pm-3 (No. 200)
Unique sites:
Y: 0.000 0.000 0.000 x1
B: 0.000 0.500 0.250 x6
Pb: 0.500 0.500 0.500 x1
C: 0.000 0.244 0.500 x6


(12)
Starting from a cell relaxed with GGA-PBE, the powder diffractogram of PmB2C2 was calculated for Cu Kα, 1.54184 Å.

The 10 most intense peaks (2θ = 5–70°), most intense first:
- d 2.682, 2θ = 33.4°, I = 100, hkl 1 1 2
- d 3.805, 2θ = 23.4°, I = 85, hkl 1 1 0
- d 2.192, 2θ = 41.2°, I = 55, hkl 2 0 2
- d 1.701, 2θ = 53.9°, I = 47, hkl 3 1 0
- d 2.691, 2θ = 33.3°, I = 36, hkl 2 0 0
- d 1.552, 2θ = 59.6°, I = 26, hkl 3 1 2
- d 3.781, 2θ = 23.5°, I = 25, hkl 0 0 2
- d 1.693, 2θ = 54.2°, I = 18, hkl 1 1 4
- d 1.903, 2θ = 47.8°, I = 16, hkl 2 2 0
- d 1.547, 2θ = 59.8°, I = 14, hkl 2 0 4

a = 5.382 Å, b = 5.382 Å, c = 7.561 Å
α = 90.00°, β = 90.00°, γ = 90.00°
Space group I4/mcm (No. 140)
Unique sites:
Pm: 0.000 0.000 0.250 x4
B: 0.137 0.363 0.000 x8
C: 0.161 0.339 0.500 x8


(13)
Starting from a cell relaxed with GGA-PBE, the powder diffractogram of PmBC was calculated for Cu Kα, 1.54184 Å.

The 10 most intense peaks (2θ = 5–70°), most intense first:
- d 2.650, 2θ = 33.8°, I = 100, hkl 1 -1 0
- d 3.084, 2θ = 28.9°, I = 44, hkl 0 1 1
- d 3.289, 2θ = 27.1°, I = 43, hkl 0 0 2
- d 3.615, 2θ = 24.6°, I = 36, hkl 1 0 -1
- d 2.862, 2θ = 31.3°, I = 34, hkl 1 0 1
- d 2.847, 2θ = 31.4°, I = 33, hkl 1 0 -2
- d 3.457, 2θ = 25.8°, I = 30, hkl 0 1 -1
- d 6.578, 2θ = 13.5°, I = 25, hkl 0 0 1
- d 2.555, 2θ = 35.1°, I = 20, hkl 1 1 0
- d 1.791, 2θ = 51.0°, I = 17, hkl 1 1 2

a = 3.760 Å, b = 3.778 Å, c = 6.887 Å
α = 97.29°, β = 105.53°, γ = 90.04°
Space group P-1 (No. 2)
Unique sites:
Pm: 0.151 0.193 0.299 x2
B: 0.442 0.385 0.890 x2
C: 0.335 0.296 0.673 x2